Calculated powder diffraction line list of GdDyPI2 for Cu Kα, from the PBE geometry in OQMD.
Lines closer than 0.1° are merged.

Structural model:
```
data_GdDyPI2
_cell_length_a 4.1166
_cell_length_b 4.1166
_cell_length_c 10.8590
_cell_angle_alpha 90.00
_cell_angle_beta 90.00
_cell_angle_gamma 120.00
_space_group_name_H-M_alt 'P 3 m 1'
_space_group_IT_number 156
loop_
_space_group_symop_operation_xyz
'x,y,z'
'-y,x-y,z'
'-x+y,-x,z'
'-y,-x,z'
'-x+y,y,z'
'x,x-y,z'
loop_
_atom_site_label
_atom_site_type_symbol
_atom_site_fract_x
_atom_site_fract_y
_atom_site_fract_z
_atom_site_occupancy
Gd1 Gd 0.0000 0.0000 0.0000 1
Dy1 Dy 0.3333 0.6667 0.2754 1
P1 P 0.6667 0.3333 0.1400 1
I1 I 0.0000 0.0000 0.4638 1
I2 I 0.3333 0.6667 0.8089 1
```

Largest 6 diffraction maxima, low angle first, 10° ≤ 2θ ≤ 90°:
2θ = 24.98°, 3.565 Å, rel. 23, (1 0 0); 2θ = 29.98°, 2.980 Å, rel. 100, (1 0 2); 2θ = 41.82°, 2.160 Å, rel. 25, (0 1 4); 2θ = 43.99°, 2.058 Å, rel. 28, (1 1 0); 2θ = 54.16°, 1.694 Å, rel. 19, (0 2 2); 2θ = 72.24°, 1.308 Å, rel. 16, (2 1 2)

---

Calculated powder diffraction line list of GdDySe2I2 for Cu Kα, from the PBE geometry in OQMD.
Lines closer than 0.1° are merged.

Structural model:
```
data_GdDySe2I2
_cell_length_a 4.2505
_cell_length_b 5.6658
_cell_length_c 9.6518
_cell_angle_alpha 90.00
_cell_angle_beta 90.00
_cell_angle_gamma 90.00
_space_group_name_H-M_alt 'P m m 2'
_space_group_IT_number 25
loop_
_space_group_symop_operation_xyz
'x,y,z'
'-x,-y,z'
'-x,y,z'
'x,-y,z'
loop_
_atom_site_label
_atom_site_type_symbol
_atom_site_fract_x
_atom_site_fract_y
_atom_site_fract_z
_atom_site_occupancy
Gd1 Gd 0.0000 0.0000 0.0000 1
Dy1 Dy 0.5000 0.5000 0.7571 1
Se1 Se 0.0000 0.5000 0.9571 1
Se2 Se 0.5000 0.0000 0.7962 1
I1 I 0.0000 0.5000 0.5303 1
I2 I 0.5000 0.0000 0.2299 1
```

Largest 6 diffraction maxima, low angle first, 10° ≤ 2θ ≤ 90°:
2θ = 18.16°, 4.886 Å, rel. 71, (0 1 1); 2θ = 27.82°, 3.207 Å, rel. 24, (1 1 1); 2θ = 27.97°, 3.190 Å, rel. 100, (1 0 2); 2θ = 31.58°, 2.833 Å, rel. 40, (0 2 0); 2θ = 38.52°, 2.337 Å, rel. 37, (1 1 3); 2θ = 42.69°, 2.118 Å, rel. 63, (1 2 2)

---

Calculated powder diffraction line list of GdDyIn4Ir2 for Cu Kα, from the PBE geometry in OQMD.
Lines closer than 0.1° are merged.

Structural model:
```
data_GdDyIn4Ir2
_cell_length_a 8.0548
_cell_length_b 4.3286
_cell_length_c 10.1944
_cell_angle_alpha 90.00
_cell_angle_beta 90.00
_cell_angle_gamma 90.00
_space_group_name_H-M_alt 'A m m 2'
_space_group_IT_number 38
loop_
_space_group_symop_operation_xyz
'x,y,z'
'-x,-y,z'
'-x,y,z'
'x,-y,z'
'x,y+1/2,z+1/2'
'-x,-y+1/2,z+1/2'
'-x,y+1/2,z+1/2'
'x,-y+1/2,z+1/2'
loop_
_atom_site_label
_atom_site_type_symbol
_atom_site_fract_x
_atom_site_fract_y
_atom_site_fract_z
_atom_site_occupancy
Gd1 Gd 0.0000 0.0000 0.0000 1
Dy1 Dy 0.5000 0.0000 0.8578 1
In1 In 0.2004 0.0000 0.2867 1
In2 In 0.3011 0.0000 0.5717 1
Ir1 Ir 0.0000 0.0000 0.7084 1
Ir2 Ir 0.5000 0.0000 0.1501 1
```

Largest 6 diffraction maxima, low angle first, 10° ≤ 2θ ≤ 90°:
2θ = 31.59°, 2.832 Å, rel. 98, (2 1 1); 2θ = 35.38°, 2.537 Å, rel. 100, (1 1 3); 2θ = 37.00°, 2.430 Å, rel. 36, (1 0 4); 2θ = 40.51°, 2.227 Å, rel. 71, (3 1 1); 2θ = 41.73°, 2.164 Å, rel. 44, (0 2 0); 2θ = 67.92°, 1.380 Å, rel. 42, (0 1 7)

---

Calculated powder diffraction line list of GdDy2Mg3In3 for Cu Kα, from the PBE geometry in OQMD.
Lines closer than 0.1° are merged.

Structural model:
```
data_GdDy2Mg3In3
_cell_length_a 4.6820
_cell_length_b 13.0578
_cell_length_c 7.5089
_cell_angle_alpha 90.00
_cell_angle_beta 90.00
_cell_angle_gamma 90.00
_space_group_name_H-M_alt 'A m m 2'
_space_group_IT_number 38
loop_
_space_group_symop_operation_xyz
'x,y,z'
'-x,-y,z'
'-x,y,z'
'x,-y,z'
'x,y+1/2,z+1/2'
'-x,-y+1/2,z+1/2'
'-x,y+1/2,z+1/2'
'x,-y+1/2,z+1/2'
loop_
_atom_site_label
_atom_site_type_symbol
_atom_site_fract_x
_atom_site_fract_y
_atom_site_fract_z
_atom_site_occupancy
Gd1 Gd 0.0000 0.0000 0.0000 1
Dy1 Dy 0.0000 0.2173 0.6521 1
Mg1 Mg 0.5000 0.0000 0.6767 1
Mg2 Mg 0.5000 0.1207 0.3144 1
In1 In 0.0000 0.0000 0.4367 1
In2 In 0.5000 0.1674 0.9347 1
```

Largest 6 diffraction maxima, low angle first, 10° ≤ 2θ ≤ 90°:
2θ = 23.65°, 3.762 Å, rel. 18, (0 3 1); 2θ = 27.37°, 3.258 Å, rel. 25, (0 4 0); 2θ = 30.48°, 2.933 Å, rel. 52, (1 0 2); 2θ = 33.51°, 2.674 Å, rel. 100, (1 2 2); 2θ = 38.45°, 2.341 Å, rel. 23, (2 0 0); 2θ = 66.42°, 1.407 Å, rel. 13, (3 2 2)